No. 1
Structure and calculated powder X-ray diffraction pattern of Cu3Mo2H2O10 (a DFT-relaxed cell (PBE+U, the Materials Project); λ = 1.5418 Å (Cu Kα)).

The 8 most intense peaks (2θ from 10° to 90°), low angle first:
| 2θ (°) | Rel. int. | (hkl) |
| --- | --- | --- |
| 21.39 | 75.7 | 1 -1 0 |
| 24.44 | 50.3 | 1 1 -1 |
| 25.46 | 76.1 | 0 0 2 |
| 25.81 | 100.0 | 1 0 -2 |
| 26.48 | 79.0 | 1 1 0 |
| 31.92 | 69.1 | 0 2 -1 |
| 34.21 | 43.1 | 0 1 2 |
| 34.32 | 45.2 | 1 -1 2 |

Structure:
```
data_Cu3Mo2H2O10
_chemical_formula_sum 'Cu3 Mo2 H2 O10'
_space_group_name_H-M_alt 'P -1'
_space_group_IT_number 2
_space_group_name_Hall '-P 1'
_cell_length_a 5.403
_cell_length_b 5.686
_cell_length_c 7.611
_cell_angle_alpha 103.43
_cell_angle_beta 106.50
_cell_angle_gamma 97.33
loop_
_atom_site_label
_atom_site_type_symbol
_atom_site_fract_x
_atom_site_fract_y
_atom_site_fract_z
Cu1 Cu 0.000 0.000 0.000
Cu2 Cu 0.229 0.586 0.193
Mo1 Mo 0.314 0.779 0.692
H1 H 0.229 0.327 0.868
O1 O 0.021 0.797 0.763
O2 O 0.107 0.321 0.942
O3 O 0.231 0.766 0.445
O4 O 0.428 0.502 0.731
O5 O 0.437 0.954 0.167
```


No. 2
Structure and calculated powder X-ray diffraction pattern of Li2CoP2O8 (a DFT-relaxed cell (PBE+U, the Materials Project); λ = 1.5418 Å (Cu Kα)).

The 8 most intense peaks (2θ from 10° to 90°), low angle first:
| 2θ (°) | Rel. int. | (hkl) |
| --- | --- | --- |
| 13.81 | 41.1 | 1 0 -1 |
| 15.88 | 77.7 | 1 -1 1 |
| 21.56 | 75.5 | 1 -1 2 |
| 21.76 | 100.0 | 0 2 0 |
| 23.68 | 38.3 | 2 0 1 |
| 32.08 | 48.8 | 2 -2 2 |
| 33.85 | 41.4 | 0 0 4 |
| 34.80 | 42.2 | 2 2 0 |

Structure:
```
data_Li2CoP2O8
_chemical_formula_sum 'Li8 Co4 P8 O32'
_space_group_name_H-M_alt 'P 1'
_space_group_IT_number 1
_space_group_name_Hall 'P 1'
_cell_length_a 8.293
_cell_length_b 8.408
_cell_length_c 10.588
_cell_angle_alpha 90.15
_cell_angle_beta 90.24
_cell_angle_gamma 103.73
loop_
_atom_site_label
_atom_site_type_symbol
_atom_site_fract_x
_atom_site_fract_y
_atom_site_fract_z
Li1 Li 0.000 0.000 0.000
Li2 Li 0.005 0.497 0.839
Li3 Li 0.059 0.819 0.735
Li4 Li 0.065 0.314 0.109
Li5 Li 0.172 0.377 0.601
Li6 Li 0.227 0.701 0.493
Li7 Li 0.240 0.183 0.341
Li8 Li 0.256 0.768 0.022
Co1 Co 0.524 0.023 0.835
Co2 Co 0.526 0.516 0.002
Co3 Co 0.708 0.173 0.509
Co4 Co 0.730 0.674 0.329
P1 P 0.335 0.066 0.588
P2 P 0.347 0.560 0.250
P3 P 0.370 0.655 0.767
P4 P 0.372 0.147 0.074
P5 P 0.864 0.046 0.268
P6 P 0.871 0.541 0.574
P7 P 0.901 0.127 0.754
P8 P 0.910 0.625 0.079
O1 O 0.018 0.296 0.752
O2 O 0.023 0.032 0.332
O3 O 0.027 0.511 0.515
O4 O 0.031 0.790 0.058
O5 O 0.208 0.173 0.025
O6 O 0.215 0.899 0.593
O7 O 0.219 0.688 0.838
O8 O 0.229 0.391 0.252
O9 O 0.269 0.204 0.532
O10 O 0.289 0.696 0.315
O11 O 0.339 0.594 0.634
O12 O 0.378 0.104 0.212
O13 O 0.387 0.610 0.105
O14 O 0.401 0.116 0.728
O15 O 0.421 0.005 0.991
O16 O 0.439 0.526 0.845
O17 O 0.494 0.050 0.511
O18 O 0.515 0.818 0.775
O19 O 0.516 0.304 0.046
O20 O 0.519 0.546 0.310
O21 O 0.727 0.378 0.570
O22 O 0.729 0.878 0.273
O23 O 0.740 0.136 0.833
O24 O 0.740 0.632 0.013
O25 O 0.788 0.168 0.349
O26 O 0.801 0.665 0.489
O27 O 0.835 0.077 0.615
O28 O 0.868 0.594 0.223
O29 O 0.885 0.108 0.133
O30 O 0.893 0.609 0.708
O31 O 0.971 0.992 0.812
O32 O 0.974 0.482 0.026
```


No. 3
Structure and calculated powder X-ray diffraction pattern of Sr2CaFe2Bi2O9 (a DFT-relaxed cell (PBE+U, the Materials Project); λ = 1.5418 Å (Cu Kα)).

The 8 most intense peaks (2θ from 10° to 90°), low angle first:
| 2θ (°) | Rel. int. | (hkl) |
| --- | --- | --- |
| 24.47 | 19.4 | 1 3 1 |
| 26.84 | 100.0 | 1 5 1 |
| 30.06 | 98.9 | 1 7 1 |
| 32.01 | 40.6 | 0 0 2 |
| 32.96 | 20.9 | 0 12 0 |
| 33.59 | 40.0 | 2 0 0 |
| 47.08 | 37.6 | 2 0 2 |
| 55.84 | 18.9 | 1 7 3 |

Structure:
```
data_Sr2CaFe2Bi2O9
_chemical_formula_sum 'Sr8 Ca4 Fe8 Bi8 O36'
_space_group_name_H-M_alt 'C m m e'
_space_group_IT_number 67
_space_group_name_Hall '-C 2a 2'
_cell_length_a 5.336
_cell_length_b 32.614
_cell_length_c 5.593
_cell_angle_alpha 90.00
_cell_angle_beta 90.00
_cell_angle_gamma 90.00
loop_
_atom_site_label
_atom_site_type_symbol
_atom_site_fract_x
_atom_site_fract_y
_atom_site_fract_z
Sr1 Sr 0.000 0.132 0.243
Ca1 Ca 0.000 0.250 0.219
Fe1 Fe 0.000 0.191 0.744
Bi1 Bi 0.000 0.045 0.729
O1 O 0.000 0.046 0.347
O2 O 0.000 0.108 0.777
O3 O 0.000 0.250 0.749
O4 O 0.250 0.181 0.500
O5 O 0.250 0.186 0.000
```


No. 4
Structure and calculated powder X-ray diffraction pattern of V3SnO8 (a DFT-relaxed cell (PBE+U, the Materials Project); λ = 1.5418 Å (Cu Kα)).

The 8 most intense peaks (2θ from 10° to 90°), low angle first:
| 2θ (°) | Rel. int. | (hkl) |
| --- | --- | --- |
| 13.97 | 68.3 | 0 0 1 |
| 14.73 | 81.2 | 2 0 0 |
| 24.23 | 100.0 | 1 1 0 |
| 28.14 | 60.6 | 0 0 2 |
| 28.99 | 46.0 | 4 0 -1 |
| 29.14 | 36.5 | 1 1 1 |
| 32.20 | 35.3 | 3 1 0 |
| 47.11 | 37.5 | 0 2 0 |

Structure:
```
data_V3SnO8
_chemical_formula_sum 'V6 Sn2 O16'
_space_group_name_H-M_alt 'C 1 m 1'
_space_group_IT_number 8
_space_group_name_Hall 'C -2y'
_cell_length_a 12.555
_cell_length_b 3.858
_cell_length_c 6.618
_cell_angle_alpha 90.00
_cell_angle_beta 106.64
_cell_angle_gamma 90.00
loop_
_atom_site_label
_atom_site_type_symbol
_atom_site_fract_x
_atom_site_fract_y
_atom_site_fract_z
V1 V 0.000 0.000 0.000
V2 V 0.103 0.000 0.592
V3 V 0.299 0.500 0.607
Sn1 Sn 0.206 0.500 0.026
O1 O 0.037 0.500 0.032
O2 O 0.041 0.000 0.331
O3 O 0.145 0.500 0.670
O4 O 0.161 0.000 0.967
O5 O 0.265 0.000 0.623
O6 O 0.279 0.500 0.336
O7 O 0.347 0.500 0.940
O8 O 0.464 0.500 0.701
```


No. 5
Structure and calculated powder X-ray diffraction pattern of LiVPO5 (a DFT-relaxed cell (PBE+U, the Materials Project); λ = 1.5418 Å (Cu Kα)).

The 8 most intense peaks (2θ from 10° to 90°), low angle first:
| 2θ (°) | Rel. int. | (hkl) |
| --- | --- | --- |
| 17.58 | 100.0 | 1 0 0 |
| 19.84 | 30.9 | 1 1 0 |
| 26.80 | 23.0 | 0 1 2 |
| 27.11 | 48.9 | 1 1 -2 |
| 31.04 | 39.5 | 1 2 1 |
| 43.94 | 15.6 | 2 1 -3 |
| 45.17 | 15.8 | 1 4 1 |
| 45.58 | 15.3 | 1 3 2 |

Structure:
```
data_LiVPO5
_chemical_formula_sum 'Li4 V4 P4 O20'
_space_group_name_H-M_alt 'P 1 21/c 1'
_space_group_IT_number 14
_space_group_name_Hall '-P 2ybc'
_cell_length_a 5.349
_cell_length_b 9.693
_cell_length_c 7.510
_cell_angle_alpha 90.00
_cell_angle_beta 109.44
_cell_angle_gamma 90.00
loop_
_atom_site_label
_atom_site_type_symbol
_atom_site_fract_x
_atom_site_fract_y
_atom_site_fract_z
Li1 Li 0.054 0.106 0.214
V1 V 0.485 0.579 0.654
P1 P 0.336 0.655 0.043
O1 O 0.166 0.713 0.501
O2 O 0.243 0.549 0.166
O3 O 0.292 0.049 0.015
O4 O 0.324 0.585 0.856
O5 O 0.386 0.218 0.340
```


No. 6
Structure and calculated powder X-ray diffraction pattern of LiV5B2O10 (a DFT-relaxed cell (PBE+U, the Materials Project); λ = 1.5418 Å (Cu Kα)).

The 8 most intense peaks (2θ from 10° to 90°), low angle first:
| 2θ (°) | Rel. int. | (hkl) |
| --- | --- | --- |
| 16.94 | 43.4 | 1 2 0 |
| 23.25 | 41.6 | 1 3 0 |
| 34.26 | 54.0 | 2 4 0 |
| 34.87 | 100.0 | 2 0 1 |
| 43.57 | 28.5 | 3 2 1 |
| 46.63 | 24.7 | 3 3 1 |
| 57.18 | 32.4 | 4 4 1 |
| 60.73 | 21.2 | 1 7 1 |

Structure:
```
data_LiV5B2O10
_chemical_formula_sum 'Li2 V10 B4 O20'
_space_group_name_H-M_alt 'P b a m'
_space_group_IT_number 55
_space_group_name_Hall '-P 2 2ab'
_cell_length_a 9.519
_cell_length_b 12.533
_cell_length_c 3.058
_cell_angle_alpha 90.00
_cell_angle_beta 90.00
_cell_angle_gamma 90.00
loop_
_atom_site_label
_atom_site_type_symbol
_atom_site_fract_x
_atom_site_fract_y
_atom_site_fract_z
Li1 Li 0.000 0.000 0.000
V1 V 0.000 0.500 0.500
V2 V 0.006 0.214 0.500
V3 V 0.248 0.388 0.000
B1 B 0.224 0.641 0.000
O1 O 0.112 0.355 0.500
O2 O 0.118 0.919 0.500
O3 O 0.131 0.146 0.000
O4 O 0.145 0.736 0.000
O5 O 0.153 0.544 0.000
```


No. 7
Structure and calculated powder X-ray diffraction pattern of CaMo2O4 (a DFT-relaxed cell (PBE+U, the Materials Project); λ = 1.5418 Å (Cu Kα)).

The 8 most intense peaks (2θ from 10° to 90°), low angle first:
| 2θ (°) | Rel. int. | (hkl) |
| --- | --- | --- |
| 26.75 | 34.9 | 0 2 0 |
| 27.43 | 49.9 | 1 1 2 |
| 31.83 | 40.1 | 1 2 1 |
| 32.19 | 36.1 | 0 1 3 |
| 32.46 | 30.0 | 1 0 3 |
| 32.63 | 100.0 | 2 1 1 |
| 51.09 | 33.4 | 2 3 1 |
| 56.61 | 53.5 | 2 2 4 |

Structure:
```
data_CaMo2O4
_chemical_formula_sum 'Ca4 Mo8 O16'
_space_group_name_H-M_alt 'I m m a'
_space_group_IT_number 74
_space_group_name_Hall '-I 2b 2'
_cell_length_a 6.377
_cell_length_b 6.665
_cell_length_c 9.178
_cell_angle_alpha 90.00
_cell_angle_beta 90.00
_cell_angle_gamma 90.00
loop_
_atom_site_label
_atom_site_type_symbol
_atom_site_fract_x
_atom_site_fract_y
_atom_site_fract_z
Ca1 Ca 0.000 0.000 0.000
Mo1 Mo 0.000 0.250 0.360
Mo2 Mo 0.250 0.250 0.750
O1 O 0.000 0.027 0.744
O2 O 0.247 0.250 0.514
```